(1)
Simulated powder XRD pattern
Compound: La2Ti3CuPt12
Radiation: λ = 1.5418 Å (Cu Kα)
Structure: a structure optimized by DFT (GGA-PBE)
Kinematic intensities with the Lorentz-polarization factor, no thermal factor.

Main lines, by angle (15 to 90 degrees two-theta):
d [Å], 2θ/deg, I (rel.)
4.217, 21.07, 11
3.867, 23.00, 10
2.850, 31.39, 100
2.109, 42.89, 61
1.933, 47.00, 43
1.695, 54.10, 22
1.425, 65.50, 16
1.321, 71.40, 19
1.233, 77.43, 13
1.181, 81.53, 17

Cell and atoms:
```
data_La2Ti3CuPt12
_symmetry_space_group_name_H-M 'P 1'
_symmetry_Int_Tables_number 1
_cell_length_a 7.787
_cell_length_b 7.787
_cell_length_c 7.787
_cell_angle_alpha 65.58
_cell_angle_beta 65.58
_cell_angle_gamma 65.58
loop_
_symmetry_equiv_pos_as_xyz
'x,y,z'
loop_
_atom_site_label
_atom_site_fract_x
_atom_site_fract_y
_atom_site_fract_z
La1 0.121 0.121 0.121
La2 0.879 0.879 0.879
Ti1 0.000 0.500 0.500
Ti2 0.500 0.000 0.500
Ti3 0.500 0.500 0.000
Cu1 0.500 0.500 0.500
Pt1 0.127 0.127 0.613
Pt2 0.127 0.613 0.127
Pt3 0.134 0.633 0.633
Pt4 0.367 0.367 0.866
Pt5 0.367 0.866 0.367
Pt6 0.387 0.873 0.873
Pt7 0.613 0.127 0.127
Pt8 0.633 0.134 0.633
Pt9 0.633 0.633 0.134
Pt10 0.866 0.367 0.367
Pt11 0.873 0.387 0.873
Pt12 0.873 0.873 0.387
```



(2)
Simulated powder XRD pattern
Compound: Ba2CaGa2CuF14
Radiation: λ = 1.5418 Å (Cu Kα)
Structure: a structure optimized by DFT (GGA-PBE)
Kinematic intensities with the Lorentz-polarization factor, no thermal factor.

Main lines, by angle (15 to 90 degrees two-theta):
d [Å], 2θ/deg, I (rel.)
3.744, 23.76, 31
3.542, 25.14, 100
3.344, 26.66, 21
3.229, 27.62, 28
3.024, 29.54, 36
2.994, 29.84, 29
2.216, 40.72, 18
2.195, 41.13, 19
1.873, 48.61, 27
1.671, 54.94, 21

Cell and atoms:
```
data_Ba2CaGa2CuF14
_symmetry_space_group_name_H-M 'P 1'
_symmetry_Int_Tables_number 1
_cell_length_a 7.528
_cell_length_b 7.528
_cell_length_c 14.984
_cell_angle_alpha 91.55
_cell_angle_beta 91.55
_cell_angle_gamma 42.18
loop_
_symmetry_equiv_pos_as_xyz
'x,y,z'
loop_
_atom_site_label
_atom_site_fract_x
_atom_site_fract_y
_atom_site_fract_z
Ba1 0.112 0.264 0.123
Ba2 0.264 0.112 0.623
Ba3 0.736 0.888 0.377
Ba4 0.888 0.736 0.877
Ca1 0.413 0.587 0.250
Ca2 0.587 0.413 0.750
Ga1 0.091 0.152 0.375
Ga2 0.152 0.091 0.875
Ga3 0.848 0.909 0.125
Ga4 0.909 0.848 0.625
Cu1 0.500 0.500 0.000
Cu2 0.500 0.500 0.500
F1 0.036 0.649 0.222
F2 0.062 0.927 0.347
F3 0.073 0.938 0.153
F4 0.111 0.608 0.046
F5 0.130 0.697 0.520
F6 0.150 0.353 0.399
F7 0.179 0.585 0.709
F8 0.303 0.870 0.980
F9 0.351 0.964 0.278
F10 0.353 0.150 0.899
F11 0.390 0.502 0.885
F12 0.392 0.889 0.454
F13 0.415 0.821 0.791
F14 0.498 0.610 0.615
F15 0.502 0.390 0.385
F16 0.585 0.179 0.209
F17 0.608 0.111 0.546
F18 0.610 0.498 0.115
F19 0.647 0.850 0.101
F20 0.649 0.036 0.722
F21 0.697 0.130 0.020
F22 0.821 0.415 0.291
F23 0.850 0.647 0.601
F24 0.870 0.303 0.480
F25 0.889 0.392 0.954
F26 0.927 0.062 0.847
F27 0.938 0.073 0.653
F28 0.964 0.351 0.778
```



(3)
Simulated powder XRD pattern
Compound: Bi4Ir
Radiation: λ = 1.5418 Å (Cu Kα)
Structure: a structure optimized by DFT (GGA-PBE)
Kinematic intensities with the Lorentz-polarization factor, no thermal factor.

Main lines, by angle (15 to 90 degrees two-theta):
d [Å], 2θ/deg, I (rel.)
3.310, 26.94, 57
2.888, 30.96, 61
2.704, 33.13, 71
2.459, 36.54, 49
2.340, 38.46, 100
1.974, 45.98, 22
1.819, 50.16, 20
1.561, 59.18, 24
1.509, 61.46, 24
1.317, 71.63, 29

Cell and atoms:
```
data_Bi4Ir
_symmetry_space_group_name_H-M 'P 1'
_symmetry_Int_Tables_number 1
_cell_length_a 8.111
_cell_length_b 8.111
_cell_length_c 8.111
_cell_angle_alpha 131.85
_cell_angle_beta 131.85
_cell_angle_gamma 70.47
loop_
_symmetry_equiv_pos_as_xyz
'x,y,z'
loop_
_atom_site_label
_atom_site_fract_x
_atom_site_fract_y
_atom_site_fract_z
Bi1 0.032 0.724 0.825
Bi2 0.224 0.900 0.692
Bi3 0.293 0.468 0.192
Bi4 0.400 0.207 0.675
Bi5 0.600 0.793 0.325
Bi6 0.707 0.532 0.808
Bi7 0.776 0.100 0.308
Bi8 0.968 0.276 0.175
Ir1 0.375 0.125 0.250
Ir2 0.625 0.875 0.750
```